Record 1
The following is a theoretical X-ray diffraction stick pattern of Al24Re5. It was derived from a DFT-relaxed cell (GGA-PBE, OQMD), using λ = 1.5418 Å (Cu Kα).
Lines closer than 0.1° are merged.

Cell and atoms:
Cell: 9.556 9.556 9.556 Å, 90.00 90.00 90.00°
Space group I-43m (No. 217)
Inequivalent atoms, fractional coordinates:
Al (0.045, 0.364, 0.636) (multiplicity 24)
Al (0.091, 0.091, 0.722) (multiplicity 24)
Re (0.000, 0.000, 0.000) (multiplicity 2)
Re (0.199, 0.199, 0.199) (multiplicity 8)

Most intense lines, 10 to 90 degrees two-theta, sorted by position:
2θ = 13.1°, rel. 26, (1 1 0)
2θ = 18.6°, rel. 18, (2 0 0)
2θ = 22.8°, rel. 37, (2 1 1)
2θ = 26.4°, rel. 39, (2 2 0)
2θ = 35.1°, rel. 34, (3 2 1)
2θ = 40.0°, rel. 100, (4 1 1)
2θ = 44.5°, rel. 12, (3 3 2)
2θ = 46.6°, rel. 15, (4 2 2)
2θ = 59.6°, rel. 32, (5 3 2)
2θ = 72.7°, rel. 18, (7 2 1)

Record 2
The following is a theoretical X-ray diffraction stick pattern of SmNbN2O. It was derived from a DFT-relaxed cell (GGA-PBE, OQMD), using λ = 1.5418 Å (Cu Kα).
Lines closer than 0.1° are merged.

Cell and atoms:
Cell: 7.952 8.086 11.171 Å, 90.00 134.51 90.00°
Space group P2_1/c (No. 14)
Inequivalent atoms, fractional coordinates:
Sm (0.226, 0.006, 0.486) (multiplicity 4)
Sm (0.240, 0.505, 0.497) (multiplicity 4)
Nb (0.264, 0.245, 0.255) (multiplicity 4)
Nb (0.265, 0.748, 0.261) (multiplicity 4)
N (0.192, 0.003, 0.212) (multiplicity 4)
N (0.225, 0.503, 0.249) (multiplicity 4)
N (0.434, 0.244, 0.685) (multiplicity 4)
N (0.434, 0.730, 0.999) (multiplicity 4)
O (0.080, 0.736, 0.998) (multiplicity 4)
O (0.082, 0.245, 0.834) (multiplicity 4)

Most intense lines, 10 to 90 degrees two-theta, sorted by position:
2θ = 22.3°, rel. 4, (0 0 2)
2θ = 31.5°, rel. 100, (2 0 0)
2θ = 32.0°, rel. 22, (2 0 -4)
2θ = 44.8°, rel. 12, (0 4 0)
2θ = 45.6°, rel. 19, (4 0 -4)
2θ = 55.9°, rel. 8, (2 4 0)
2θ = 56.2°, rel. 25, (2 4 -4)
2θ = 56.8°, rel. 17, (4 2 -6)
2θ = 65.9°, rel. 14, (4 4 -4)
2θ = 74.3°, rel. 7, (0 6 2)

Record 3
The following is a theoretical X-ray diffraction stick pattern of Pu3Zr4. It was derived from a DFT-relaxed cell (GGA-PBE, OQMD), using λ = 1.5418 Å (Cu Kα).
Lines closer than 0.1° are merged.

Cell and atoms:
Cell: 8.561 5.323 8.586 Å, 90.00 119.80 90.00°
Space group P2_1/m (No. 11)
Inequivalent atoms, fractional coordinates:
Pu (0.049, 0.250, 0.241) (multiplicity 2)
Pu (0.189, 0.250, 0.945) (multiplicity 2)
Pu (0.247, 0.750, 0.193) (multiplicity 2)
Zr (0.100, 0.750, 0.489) (multiplicity 2)
Zr (0.331, 0.250, 0.666) (multiplicity 2)
Zr (0.392, 0.750, 0.903) (multiplicity 2)
Zr (0.485, 0.250, 0.388) (multiplicity 2)

Most intense lines, 10 to 90 degrees two-theta, sorted by position:
2θ = 11.9°, rel. 34, (0 0 1)
2θ = 26.7°, rel. 15, (1 1 1)
2θ = 31.8°, rel. 22, (1 0 -3)
2θ = 33.7°, rel. 39, (0 2 0)
2θ = 36.1°, rel. 100, (2 1 1)
2θ = 36.2°, rel. 47, (3 1 -2)
2θ = 47.0°, rel. 16, (1 2 -3)
2θ = 56.8°, rel. 18, (4 0 -5)
2θ = 61.8°, rel. 21, (2 3 1)
2θ = 67.7°, rel. 21, (4 2 -5)

Record 4
The following is a theoretical X-ray diffraction stick pattern of Nd5H. It was derived from a DFT-relaxed cell (GGA-PBE, OQMD), using λ = 1.5418 Å (Cu Kα).
Lines closer than 0.1° are merged.

Cell and atoms:
Cell: 6.5308 6.5308 6.1104 Å, 90.00 90.00 120.00°
Space group P6/mmm (No. 191)
Inequivalent atoms, fractional coordinates:
Nd (0.0000, 0.5000, 0.0000) (multiplicity 3)
Nd (0.3333, 0.6667, 0.5000) (multiplicity 2)
H (0.0000, 0.0000, 0.5000) (multiplicity 1)

Most intense lines, 10 to 90 degrees two-theta, sorted by position:
2θ = 15.7°, rel. 89, (1 0 0)
2θ = 29.2°, rel. 42, (0 0 2)
2θ = 31.1°, rel. 78, (1 1 1)
2θ = 33.3°, rel. 28, (1 0 2)
2θ = 35.0°, rel. 100, (2 0 1)
2θ = 50.7°, rel. 20, (3 0 1)
2θ = 53.0°, rel. 17, (1 1 3)
2θ = 55.6°, rel. 26, (2 0 3)
2θ = 56.4°, rel. 20, (2 2 0)
2θ = 64.7°, rel. 26, (2 2 2)

Record 5
The following is a theoretical X-ray diffraction stick pattern of Dy2Y5Hg. It was derived from a DFT-relaxed cell (GGA-PBE, OQMD), using λ = 1.5418 Å (Cu Kα).
Lines closer than 0.1° are merged.

Cell and atoms:
Cell: 5.564 7.083 12.258 Å, 90.00 90.00 90.00°
Space group Amm2 (No. 38)
Inequivalent atoms, fractional coordinates:
Dy (0.000, 0.000, 0.000) (multiplicity 2)
Dy (0.500, 0.000, 0.341) (multiplicity 2)
Y (0.000, 0.000, 0.503) (multiplicity 2)
Y (0.000, 0.245, 0.756) (multiplicity 4)
Y (0.500, 0.244, 0.585) (multiplicity 4)
Hg (0.500, 0.000, 0.837) (multiplicity 2)

Most intense lines, 10 to 90 degrees two-theta, sorted by position:
2θ = 29.1°, rel. 25, (0 2 2)
2θ = 32.2°, rel. 24, (2 0 0)
2θ = 33.4°, rel. 100, (1 0 4)
2θ = 44.0°, rel. 16, (2 2 2)
2θ = 51.6°, rel. 19, (0 4 0)
2θ = 58.1°, rel. 20, (3 0 4)
2θ = 62.2°, rel. 22, (2 4 0)
2θ = 62.9°, rel. 16, (1 4 4)
2θ = 85.6°, rel. 13, (1 2 10)
2θ = 89.6°, rel. 8, (4 4 0)

Record 6
The following is a theoretical X-ray diffraction stick pattern of Au2SO. It was derived from a DFT-relaxed cell (GGA-PBE, OQMD), using λ = 1.5418 Å (Cu Kα).
Lines closer than 0.1° are merged.

Cell and atoms:
Cell: 7.088 6.363 6.568 Å, 90.00 90.00 90.00°
Space group Pca2_1 (No. 29)
Inequivalent atoms, fractional coordinates:
Au (0.110, 0.004, 0.000) (multiplicity 4)
Au (0.244, 0.668, 0.286) (multiplicity 4)
S (0.016, 0.653, 0.543) (multiplicity 4)
O (0.137, 0.149, 0.499) (multiplicity 4)

Most intense lines, 10 to 90 degrees two-theta, sorted by position:
2θ = 18.7°, rel. 100, (1 1 0)
2θ = 28.6°, rel. 40, (2 0 1)
2θ = 30.6°, rel. 95, (0 1 2)
2θ = 30.8°, rel. 44, (1 2 0)
2θ = 32.0°, rel. 78, (2 1 1)
2θ = 33.2°, rel. 65, (1 1 2)
2θ = 37.3°, rel. 49, (2 0 2)
2θ = 39.4°, rel. 48, (0 2 2)
2θ = 40.5°, rel. 47, (2 2 1)
2θ = 42.6°, rel. 42, (0 3 0)

Record 7
The following is a theoretical X-ray diffraction stick pattern of ErTmGa4Ag2. It was derived from a DFT-relaxed cell (GGA-PBE, OQMD), using λ = 1.5418 Å (Cu Kα).
Lines closer than 0.1° are merged.

Cell and atoms:
Cell: 6.611 4.496 10.430 Å, 90.00 90.00 90.00°
Space group Amm2 (No. 38)
Inequivalent atoms, fractional coordinates:
Er (0.000, 0.000, 0.000) (multiplicity 2)
Tm (0.500, 0.000, 0.817) (multiplicity 2)
Ga (0.200, 0.000, 0.290) (multiplicity 4)
Ga (0.300, 0.000, 0.527) (multiplicity 4)
Ag (0.000, 0.000, 0.708) (multiplicity 2)
Ag (0.500, 0.000, 0.109) (multiplicity 2)

Most intense lines, 10 to 90 degrees two-theta, sorted by position:
2θ = 27.0°, rel. 18, (2 0 0)
2θ = 34.4°, rel. 18, (0 0 4)
2θ = 34.8°, rel. 100, (2 1 1)
2θ = 35.3°, rel. 99, (1 1 3)
2θ = 37.1°, rel. 31, (1 0 4)
2θ = 40.1°, rel. 44, (0 2 0)
2θ = 42.8°, rel. 29, (2 1 3)
2θ = 44.6°, rel. 15, (3 0 2)
2θ = 55.8°, rel. 18, (1 2 4)
2θ = 69.8°, rel. 27, (1 3 3)

Record 8
The following is a theoretical X-ray diffraction stick pattern of HoErIn2Fe4. It was derived from a DFT-relaxed cell (GGA-PBE, OQMD), using λ = 1.5418 Å (Cu Kα).
Lines closer than 0.1° are merged.

Cell and atoms:
Cell: 3.976 5.023 7.244 Å, 90.00 90.00 90.00°
Space group Pmm2 (No. 25)
Inequivalent atoms, fractional coordinates:
Ho (0.000, 0.000, 0.000) (multiplicity 1)
Er (0.000, 0.500, 0.420) (multiplicity 1)
In (0.500, 0.000, 0.361) (multiplicity 1)
In (0.500, 0.500, 0.058) (multiplicity 1)
Fe (0.000, 0.000, 0.626) (multiplicity 1)
Fe (0.000, 0.500, 0.793) (multiplicity 1)
Fe (0.500, 0.250, 0.710) (multiplicity 2)

Most intense lines, 10 to 90 degrees two-theta, sorted by position:
2θ = 31.2°, rel. 100, (1 1 1)
2θ = 33.5°, rel. 15, (1 0 2)
2θ = 35.8°, rel. 27, (0 2 0)
2θ = 37.2°, rel. 25, (0 0 3)
2θ = 38.1°, rel. 68, (1 1 2)
2θ = 41.5°, rel. 20, (0 1 3)
2θ = 43.9°, rel. 19, (0 2 2)
2θ = 44.5°, rel. 14, (1 2 1)
2θ = 45.6°, rel. 27, (2 0 0)
2θ = 61.4°, rel. 15, (1 3 1)

Record 9
The following is a theoretical X-ray diffraction stick pattern of ErAgSeS. It was derived from a DFT-relaxed cell (GGA-PBE, OQMD), using λ = 1.5418 Å (Cu Kα).
Lines closer than 0.1° are merged.

Cell and atoms:
Cell: 9.121 9.630 4.165 Å, 90.00 90.00 90.00°
Space group Cmm2 (No. 35)
Inequivalent atoms, fractional coordinates:
Er (0.000, 0.000, 0.000) (multiplicity 2)
Er (0.000, 0.500, 0.421) (multiplicity 2)
Ag (0.250, 0.250, 0.168) (multiplicity 4)
Se (0.000, 0.203, 0.493) (multiplicity 4)
S (0.199, 0.500, 0.933) (multiplicity 4)

Most intense lines, 10 to 90 degrees two-theta, sorted by position:
2θ = 25.3°, rel. 95, (1 1 1)
2θ = 26.9°, rel. 86, (2 2 0)
2θ = 29.0°, rel. 52, (2 0 1)
2θ = 34.6°, rel. 86, (2 2 1)
2θ = 36.7°, rel. 100, (1 3 1)
2θ = 37.4°, rel. 62, (0 4 0)
2θ = 37.8°, rel. 56, (3 1 1)
2θ = 39.5°, rel. 62, (4 0 0)
2θ = 46.6°, rel. 69, (3 3 1)
2θ = 48.0°, rel. 57, (2 0 2)

Record 10
The following is a theoretical X-ray diffraction stick pattern of CdCuAgGeSe4. It was derived from a DFT-relaxed cell (GGA-PBE, OQMD), using λ = 1.5418 Å (Cu Kα).
Lines closer than 0.1° are merged.

Cell and atoms:
Cell: 5.966 5.966 11.501 Å, 90.00 90.00 90.00°
Space group I-4 (No. 82)
Inequivalent atoms, fractional coordinates:
Cd (0.000, 0.000, 0.000) (multiplicity 2)
Cu (0.000, 0.500, 0.750) (multiplicity 2)
Ag (0.000, 0.500, 0.250) (multiplicity 2)
Ge (0.000, 0.000, 0.500) (multiplicity 2)
Se (0.214, 0.754, 0.628) (multiplicity 8)

Most intense lines, 10 to 90 degrees two-theta, sorted by position:
2θ = 26.2°, rel. 100, (1 1 2)
2θ = 34.5°, rel. 6, (2 1 1)
2θ = 42.9°, rel. 24, (2 2 0)
2θ = 43.7°, rel. 47, (2 0 4)
2θ = 50.9°, rel. 28, (1 3 2)
2θ = 52.4°, rel. 15, (1 1 6)
2θ = 62.2°, rel. 7, (4 0 0)
2θ = 70.0°, rel. 12, (3 1 6)
2θ = 79.1°, rel. 13, (2 4 4)
2θ = 80.9°, rel. 9, (2 2 8)